Np2MoO8: computed powder X-ray diffraction pattern (a wavelength of 1.5418 Å), based on a structure optimized by DFT (GGA+U).

Cell and atoms:
a b c (Å): 4.6115 5.8121 7.8513
angles (deg): 103.21 98.36 103.13
Sites, in units of the cell vectors:
Np: 0.0989 0.2326 0.2058
Np: 0.9011 0.7674 0.7942
Mo: 0.5000 0.5000 0.0000
O: 0.1022 0.2508 0.4388
O: 0.1160 0.1858 0.9402
O: 0.3045 0.5870 0.2065
O: 0.3376 0.7100 0.8524
O: 0.6624 0.2900 0.1476
O: 0.6955 0.4130 0.7935
O: 0.8840 0.8142 0.0598
O: 0.8978 0.7492 0.5612

Main lines, in order of rising 2θ (2θ = 15–90°):
17.34°, I = 85
20.22°, I = 40
21.22°, I = 25
22.30°, I = 66
22.66°, I = 100
25.21°, I = 74
28.22°, I = 37
34.59°, I = 26
35.10°, I = 26
37.61°, I = 31

---

NpMoO5: computed powder X-ray diffraction pattern (a wavelength of 1.5418 Å), based on a structure optimized by DFT (GGA+U).

Cell and atoms:
a b c (Å): 5.5103 5.5103 4.1382
angles (deg): 106.67 106.67 94.82
Sites, in units of the cell vectors:
Np: 0.0000 0.0000 0.0000
Mo: 0.5000 0.5000 0.0000
O: 0.0000 0.0000 0.5000
O: 0.2705 0.7295 0.0000
O: 0.2918 0.2918 0.2212
O: 0.7082 0.7082 0.7788
O: 0.7295 0.2705 0.0000

Main lines, in order of rising 2θ (2θ = 15–90°):
17.08°, I = 51
21.91°, I = 100
23.74°, I = 85
24.34°, I = 25
26.39°, I = 65
27.03°, I = 52
32.52°, I = 50
34.56°, I = 42
35.06°, I = 34
52.97°, I = 21

---

RbNpMoO6: computed powder X-ray diffraction pattern (a wavelength of 1.5418 Å), based on a structure optimized by DFT (GGA+U).

Cell and atoms:
a b c (Å): 7.6293 7.6293 7.6293
angles (deg): 122.08 118.19 89.80
Sites, in units of the cell vectors:
Rb: 0.3791 0.1291 0.2500
Rb: 0.6209 0.8709 0.7500
Np: 0.0000 0.5000 0.5000
Np: 0.5000 0.5000 0.0000
Mo: 0.0000 0.0000 0.5000
Mo: 0.0000 0.5000 0.0000
O: 0.0536 0.8036 0.2500
O: 0.0603 0.4298 0.2384
O: 0.0603 0.8219 0.6305
O: 0.3086 0.1781 0.7384
O: 0.3086 0.5702 0.1305
O: 0.3235 0.5735 0.7500
O: 0.6765 0.4265 0.2500
O: 0.6914 0.4298 0.8695
O: 0.6914 0.8219 0.2616
O: 0.9397 0.1781 0.3695
O: 0.9397 0.5702 0.7616
O: 0.9464 0.1964 0.7500

Main lines, in order of rising 2θ (2θ = 15–90°):
27.05°, I = 100
27.54°, I = 50
27.95°, I = 31
28.13°, I = 60
29.29°, I = 50
44.24°, I = 21
44.57°, I = 19
47.73°, I = 50
55.77°, I = 17
66.26°, I = 19

---

RbNp2MoO8: computed powder X-ray diffraction pattern (a wavelength of 1.5418 Å), based on a structure optimized by DFT (GGA+U).

Cell and atoms:
a b c (Å): 5.0911 5.1001 7.2468
angles (deg): 89.11 89.08 86.97
Sites, in units of the cell vectors:
Rb: 0.0000 0.0000 0.0000
Np: 0.4871 0.4870 0.2628
Np: 0.5129 0.5130 0.7372
Mo: 0.0000 0.0000 0.5000
O: 0.2185 0.7773 0.2961
O: 0.2249 0.7840 0.7038
O: 0.3045 0.3068 0.4859
O: 0.3428 0.3465 0.9466
O: 0.6572 0.6535 0.0534
O: 0.6955 0.6932 0.5141
O: 0.7751 0.2160 0.2962
O: 0.7815 0.2227 0.7039

Main lines, in order of rising 2θ (2θ = 15–90°):
17.43°, I = 77
24.08°, I = 99
25.40°, I = 81
30.07°, I = 100
30.51°, I = 79
35.28°, I = 48
45.95°, I = 37
46.87°, I = 31
47.77°, I = 32
48.07°, I = 26